(1)
This entry pairs a crystal structure of Li2CoSnP2O8 with its calculated powder XRD pattern. Radiation: Cu Kα (λ = 1.5418 Å). Structure: a PBE+U-relaxed structure.
Kinematic intensities with the Lorentz-polarization factor, no thermal factor.

Structure:
```
data_Li2CoSnP2O8
_chemical_formula_sum 'Li4 Co2 Sn2 P4 O16'
_space_group_name_H-M_alt 'P 1'
_space_group_IT_number 1
_space_group_name_Hall 'P 1'
_cell_length_a 4.8414
_cell_length_b 6.3023
_cell_length_c 11.2445
_cell_angle_alpha 89.96
_cell_angle_beta 89.30
_cell_angle_gamma 88.81
loop_
_atom_site_label
_atom_site_type_symbol
_atom_site_fract_x
_atom_site_fract_y
_atom_site_fract_z
Li1 Li 0.0000 0.0000 0.0000
Li2 Li 0.0004 0.4997 0.9999
Li3 Li 0.5025 0.0005 0.5002
Li4 Li 0.5069 0.4974 0.5025
Co1 Co 0.4357 0.7473 0.2069
Co2 Co 0.5641 0.2527 0.7930
Sn1 Sn 0.0175 0.7550 0.7242
Sn2 Sn 0.9843 0.2455 0.2756
P1 P 0.1523 0.2502 0.6206
P2 P 0.4207 0.2493 0.0746
P3 P 0.5803 0.7504 0.9248
P4 P 0.8489 0.7509 0.3785
O1 O 0.1633 0.7573 0.3593
O2 O 0.2462 0.2628 0.4885
O3 O 0.2619 0.7539 0.9159
O4 O 0.2838 0.4466 0.1415
O5 O 0.2868 0.4424 0.6871
O6 O 0.2901 0.0478 0.1351
O7 O 0.3080 0.2580 0.9459
O8 O 0.3088 0.0513 0.6744
O9 O 0.6914 0.9500 0.3256
O10 O 0.6924 0.7420 0.0536
O11 O 0.7108 0.9520 0.8643
O12 O 0.7147 0.5585 0.3122
O13 O 0.7176 0.5531 0.8581
O14 O 0.7391 0.2458 0.0833
O15 O 0.7578 0.7377 0.5111
O16 O 0.8372 0.2450 0.6388
```

Largest 10 diffraction maxima, by angle, 2θ from 10° to 90°:
| 2theta | Rel. int. | h k l |
| --- | --- | --- |
| 15.8 | 100.0 | 0 0 2 |
| 24.2 | 90.4 | 1 0 2 |
| 24.4 | 57.7 | 1 1 -1 |
| 24.7 | 36.3 | 1 -1 1 |
| 24.8 | 54.3 | -1 1 1 |
| 28.3 | 97.2 | 0 2 0 |
| 33.1 | 32.7 | 1 1 3 |
| 33.4 | 72.2 | 1 1 -3 |
| 33.7 | 38.4 | -1 1 3 |
| 50.8 | 39.7 | 0 1 -6 |


(2)
This entry pairs a crystal structure of Li2CoSnP2O8 with its calculated powder XRD pattern. Radiation: Cu Kα (λ = 1.5418 Å). Structure: a PBE+U-relaxed structure.
Kinematic intensities with the Lorentz-polarization factor, no thermal factor.

Structure:
```
data_Li2CoSnP2O8
_chemical_formula_sum 'Li8 Co4 Sn4 P8 O32'
_space_group_name_H-M_alt 'P 1'
_space_group_IT_number 1
_space_group_name_Hall 'P 1'
_cell_length_a 5.9264
_cell_length_b 9.8767
_cell_length_c 12.0319
_cell_angle_alpha 99.62
_cell_angle_beta 90.24
_cell_angle_gamma 90.09
loop_
_atom_site_label
_atom_site_type_symbol
_atom_site_fract_x
_atom_site_fract_y
_atom_site_fract_z
Li1 Li 0.0000 0.0000 0.0000
Li2 Li 0.0023 0.4950 0.0038
Li3 Li 0.0075 0.7537 0.5035
Li4 Li 0.4927 0.2549 0.5044
Li5 Li 0.4969 0.4962 0.0027
Li6 Li 0.5046 0.0026 0.9982
Li7 Li 0.5088 0.7415 0.5021
Li8 Li 0.9927 0.2391 0.5011
Co1 Co 0.2438 0.2312 0.8159
Co2 Co 0.2523 0.7319 0.8173
Co3 Co 0.7496 0.2673 0.1904
Co4 Co 0.7530 0.7655 0.1846
Sn1 Sn 0.2507 0.0165 0.2807
Sn2 Sn 0.2511 0.5166 0.2826
Sn3 Sn 0.7508 0.4811 0.7222
Sn4 Sn 0.7551 0.9795 0.7199
P1 P 0.2494 0.2138 0.0797
P2 P 0.2516 0.7129 0.0820
P3 P 0.2530 0.5508 0.6077
P4 P 0.2549 0.0504 0.6072
P5 P 0.7461 0.2833 0.9210
P6 P 0.7503 0.4450 0.3967
P7 P 0.7514 0.7843 0.9206
P8 P 0.7521 0.9454 0.3944
O1 O 0.0345 0.1588 0.1336
O2 O 0.0371 0.6565 0.1363
O3 O 0.0485 0.6160 0.6836
O4 O 0.0521 0.1227 0.6818
O5 O 0.2434 0.8941 0.5906
O6 O 0.2481 0.6092 0.4959
O7 O 0.2492 0.3721 0.0926
O8 O 0.2509 0.1352 0.9553
O9 O 0.2514 0.6355 0.9576
O10 O 0.2506 0.8710 0.0958
O11 O 0.2569 0.1093 0.4959
O12 O 0.2578 0.3944 0.5912
O13 O 0.4595 0.6205 0.6810
O14 O 0.4630 0.1120 0.6826
O15 O 0.4637 0.1588 0.1350
O16 O 0.4663 0.6572 0.1370
O17 O 0.5318 0.3391 0.8656
O18 O 0.5380 0.8407 0.8649
O19 O 0.5433 0.3771 0.3219
O20 O 0.5466 0.8820 0.3173
O21 O 0.7455 0.3591 0.0457
O22 O 0.7469 0.6013 0.4142
O23 O 0.7470 0.8858 0.5054
O24 O 0.7486 0.1249 0.9063
O25 O 0.7496 0.6262 0.9073
O26 O 0.7503 0.8623 0.0448
O27 O 0.7549 0.3847 0.5071
O28 O 0.7586 0.1019 0.4122
O29 O 0.9543 0.3804 0.3194
O30 O 0.9576 0.8764 0.3208
O31 O 0.9604 0.3405 0.8676
O32 O 0.9672 0.8394 0.8670
```

Largest 10 diffraction maxima, by angle, 2θ from 10° to 90°:
| 2theta | Rel. int. | h k l |
| --- | --- | --- |
| 14.9 | 69.2 | 0 0 2 |
| 18.5 | 56.5 | 0 2 -1 |
| 23.6 | 44.3 | 1 2 0 |
| 23.9 | 100.0 | 1 2 -1 |
| 25.7 | 37.8 | -1 2 1 |
| 26.6 | 40.8 | 0 2 -3 |
| 30.2 | 84.6 | 2 0 0 |
| 30.6 | 93.4 | 1 -2 3 |
| 33.7 | 41.8 | 1 0 -4 |
| 33.9 | 41.2 | 1 0 4 |


(3)
This entry pairs a crystal structure of Li2Ti3CoP6O24 with its calculated powder XRD pattern. Radiation: Cu Kα (λ = 1.5418 Å). Structure: a PBE+U-relaxed structure.
Kinematic intensities with the Lorentz-polarization factor, no thermal factor.

Structure:
```
data_Li2Ti3CoP6O24
_chemical_formula_sum 'Li6 Ti9 Co3 P18 O72'
_space_group_name_H-M_alt 'R 3'
_space_group_IT_number 146
_space_group_name_Hall 'R 3'
_cell_length_a 8.5623
_cell_length_b 8.5623
_cell_length_c 21.2851
_cell_angle_alpha 90.00
_cell_angle_beta 90.00
_cell_angle_gamma 120.00
loop_
_atom_site_label
_atom_site_type_symbol
_atom_site_fract_x
_atom_site_fract_y
_atom_site_fract_z
Li1 Li 0.0000 0.0000 0.0000
Li2 Li 0.0000 0.0000 0.4899
Ti1 Ti 0.0000 0.0000 0.1428
Ti2 Ti 0.0000 0.0000 0.6413
Ti3 Ti 0.0000 0.0000 0.8564
Co1 Co 0.0000 0.0000 0.3575
P1 P 0.0437 0.6733 0.4154
P2 P 0.0508 0.3810 0.9189
O1 O 0.0084 0.8152 0.6902
O2 O 0.0106 0.1901 0.1920
O3 O 0.0259 0.1889 0.9169
O4 O 0.0288 0.8457 0.4174
O5 O 0.1525 0.6836 0.4749
O6 O 0.1587 0.4651 0.9788
O7 O 0.1634 0.6841 0.7492
O8 O 0.1671 0.4723 0.2516
```

Largest 10 diffraction maxima, by angle, 2θ from 10° to 90°:
| 2theta | Rel. int. | h k l |
| --- | --- | --- |
| 14.6 | 25.3 | 0 1 2 |
| 20.5 | 42.8 | 1 0 4 |
| 20.7 | 26.5 | 1 1 0 |
| 24.3 | 100.0 | 1 1 3 |
| 29.4 | 34.5 | 0 2 4 |
| 32.2 | 16.3 | 2 1 1 |
| 32.8 | 28.7 | 1 1 6 |
| 36.3 | 13.9 | 3 0 0 |
| 47.1 | 14.1 | 1 2 8 |
| 56.9 | 17.6 | 4 1 0 |


(4)
This entry pairs a crystal structure of Li2Ti4CoP4O20 with its calculated powder XRD pattern. Radiation: Cu Kα (λ = 1.5418 Å). Structure: a PBE+U-relaxed structure.
Kinematic intensities with the Lorentz-polarization factor, no thermal factor.

Structure:
```
data_Li2Ti4CoP4O20
_chemical_formula_sum 'Li2 Ti4 Co1 P4 O20'
_space_group_name_H-M_alt 'P -1'
_space_group_IT_number 2
_space_group_name_Hall '-P 1'
_cell_length_a 6.4442
_cell_length_b 7.3311
_cell_length_c 7.4856
_cell_angle_alpha 89.75
_cell_angle_beta 89.57
_cell_angle_gamma 89.48
loop_
_atom_site_label
_atom_site_type_symbol
_atom_site_fract_x
_atom_site_fract_y
_atom_site_fract_z
Li1 Li 0.0000 0.0000 0.0000
Li2 Li 0.0000 0.5000 0.5000
Ti1 Ti 0.2450 0.2159 0.3298
Ti2 Ti 0.2614 0.2726 0.8392
Co1 Co 0.5000 0.5000 0.5000
P1 P 0.2473 0.8740 0.6239
P2 P 0.2477 0.6240 0.1262
O1 O 0.0545 0.7474 0.1352
O2 O 0.0572 0.7468 0.6224
O3 O 0.2332 0.1604 0.1085
O4 O 0.2392 0.0015 0.7867
O5 O 0.2478 0.5078 0.9558
O6 O 0.2512 0.4960 0.2966
O7 O 0.2521 0.9842 0.4474
O8 O 0.2670 0.3552 0.6135
O9 O 0.4425 0.7428 0.1308
O10 O 0.4429 0.7470 0.6305
```

Largest 10 diffraction maxima, by angle, 2θ from 10° to 90°:
| 2theta | Rel. int. | h k l |
| --- | --- | --- |
| 18.4 | 32.5 | 1 -1 0 |
| 21.9 | 17.1 | 1 1 -1 |
| 26.8 | 100.0 | 0 1 -2 |
| 27.1 | 32.7 | 0 2 1 |
| 27.7 | 47.6 | 2 0 0 |
| 30.6 | 20.0 | -1 2 1 |
| 32.7 | 13.5 | 2 -1 1 |
| 39.3 | 16.3 | 1 3 0 |
| 43.8 | 12.9 | 3 1 0 |
| 57.2 | 18.6 | 4 0 0 |


(5)
This entry pairs a crystal structure of Li4V3CoP4O16 with its calculated powder XRD pattern. Radiation: Cu Kα (λ = 1.5418 Å). Structure: a PBE+U-relaxed structure.
Kinematic intensities with the Lorentz-polarization factor, no thermal factor.

Structure:
```
data_Li4V3CoP4O16
_chemical_formula_sum 'Li4 V3 Co1 P4 O16'
_space_group_name_H-M_alt 'P 1 m 1'
_space_group_IT_number 6
_space_group_name_Hall 'P -2y'
_cell_length_a 4.7477
_cell_length_b 6.0594
_cell_length_c 10.4380
_cell_angle_alpha 90.00
_cell_angle_beta 90.16
_cell_angle_gamma 90.00
loop_
_atom_site_label
_atom_site_type_symbol
_atom_site_fract_x
_atom_site_fract_y
_atom_site_fract_z
Li1 Li 0.0000 0.2483 0.0000
Li2 Li 0.4985 0.2499 0.4971
V1 V 0.4836 0.0000 0.7728
V2 V 0.5156 0.5000 0.2231
V3 V 0.9818 0.5000 0.7218
Co1 Co 0.0104 0.0000 0.2729
P1 P 0.0804 0.5000 0.4044
P2 P 0.4131 0.5000 0.9056
P3 P 0.5872 0.0000 0.0924
P4 P 0.9141 0.0000 0.5885
O1 O 0.2050 0.5000 0.5417
O2 O 0.2152 0.2960 0.3333
O3 O 0.2368 0.0000 0.5944
O4 O 0.2644 0.0000 0.0963
O5 O 0.2762 0.2965 0.8358
O6 O 0.2923 0.5000 0.0439
O7 O 0.7057 0.0000 0.9540
O8 O 0.7258 0.2039 0.1629
O9 O 0.7356 0.5000 0.9016
O10 O 0.7567 0.5000 0.4019
O11 O 0.7763 0.2028 0.6589
O12 O 0.7932 0.0000 0.4501
```

Largest 10 diffraction maxima, by angle, 2θ from 10° to 90°:
| 2theta | Rel. int. | h k l |
| --- | --- | --- |
| 17.0 | 35.1 | 0 0 2 |
| 20.6 | 71.4 | 1 0 -1 |
| 22.5 | 38.6 | 0 1 2 |
| 25.3 | 100.0 | 1 1 -1 |
| 29.5 | 81.5 | 0 2 0 |
| 35.2 | 69.4 | 1 1 -3 |
| 35.3 | 68.9 | 1 1 3 |
| 36.2 | 37.2 | 1 2 -1 |
| 52.0 | 54.9 | 2 2 2 |
| 61.2 | 37.3 | 0 4 0 |


(6)
This entry pairs a crystal structure of Li4VCo3P4O16 with its calculated powder XRD pattern. Radiation: Cu Kα (λ = 1.5418 Å). Structure: a PBE+U-relaxed structure.
Kinematic intensities with the Lorentz-polarization factor, no thermal factor.

Structure:
```
data_Li4VCo3P4O16
_chemical_formula_sum 'Li4 V1 Co3 P4 O16'
_space_group_name_H-M_alt 'P 1 m 1'
_space_group_IT_number 6
_space_group_name_Hall 'P -2y'
_cell_length_a 4.7519
_cell_length_b 6.0099
_cell_length_c 10.3361
_cell_angle_alpha 90.00
_cell_angle_beta 90.10
_cell_angle_gamma 90.00
loop_
_atom_site_label
_atom_site_type_symbol
_atom_site_fract_x
_atom_site_fract_y
_atom_site_fract_z
Li1 Li 0.0000 0.2485 0.0000
Li2 Li 0.5001 0.2505 0.4979
V1 V 0.0204 0.5000 0.7224
Co1 Co 0.4758 0.5000 0.2183
Co2 Co 0.5239 0.0000 0.7775
Co3 Co 0.9763 0.0000 0.2790
P1 P 0.0909 0.0000 0.5908
P2 P 0.4146 0.0000 0.0929
P3 P 0.5858 0.5000 0.9062
P4 P 0.9138 0.5000 0.4032
O1 O 0.2077 0.0000 0.4503
O2 O 0.2324 0.2033 0.6610
O3 O 0.2366 0.5000 0.3999
O4 O 0.2629 0.5000 0.9035
O5 O 0.2759 0.2051 0.1634
O6 O 0.2930 0.0000 0.9522
O7 O 0.7091 0.5000 0.0454
O8 O 0.7216 0.2936 0.8349
O9 O 0.7374 0.0000 0.0965
O10 O 0.7672 0.0000 0.5964
O11 O 0.7753 0.2947 0.3324
O12 O 0.7903 0.5000 0.5427
```

Largest 10 diffraction maxima, by angle, 2θ from 10° to 90°:
| 2theta | Rel. int. | h k l |
| --- | --- | --- |
| 17.2 | 32.7 | 0 0 2 |
| 20.6 | 52.5 | 1 0 1 |
| 25.4 | 91.3 | 1 1 -1 |
| 29.7 | 61.5 | 0 2 0 |
| 32.1 | 23.0 | 1 0 3 |
| 35.5 | 100.0 | 1 1 -3 |
| 36.4 | 28.1 | 1 2 1 |
| 41.8 | 19.2 | 2 0 -2 |
| 52.2 | 36.0 | 2 2 2 |
| 56.6 | 23.5 | 1 3 -3 |